# Nd2FeAs2O
Theoretical powder diffractogram, CuKα. Input: DFT lattice parameters and positions (GGA+U).

a b c (Å): 3.306 3.306 15.250
angles (deg): 90.00 90.00 90.00
Fractional positions:
Nd 0.000 0.000 0.138
Nd 0.000 0.000 0.862
Fe 0.000 0.000 0.500
As 0.000 0.000 0.338
As 0.000 0.000 0.662
O 0.000 0.000 0.000

Largest 10 diffraction maxima, sorted by position, 10° ≤ 2θ ≤ 80°:
(0 0 4), 23.33 deg, I 22
(1 0 0), 26.97 deg, I 100
(1 0 4), 35.96 deg, I 29
(1 1 0), 38.51 deg, I 38
(1 0 6), 44.99 deg, I 24
(1 1 4), 45.52 deg, I 15
(1 1 6), 53.24 deg, I 14
(2 0 0), 55.62 deg, I 19
(2 1 0), 62.87 deg, I 22
(1 0 11), 74.21 deg, I 18